Theoretical powder diffractogram
Compound: ScCuW2O8
Radiation: Cu Kα X-rays
Structure: the PBE+U geometry in the Materials Project

Structural model:
```
ScCuW2O8
1.0
4.824 -5.833 0.000
4.824 5.833 0.000
-0.090 0.000 5.085
Sc Cu W O
2 2 4 16
Direct
0.169 0.831 0.750
0.831 0.169 0.250
0.333 0.667 0.250
0.667 0.333 0.750
0.169 0.339 0.749
0.339 0.169 0.249
0.661 0.831 0.751
0.831 0.661 0.251
0.059 0.696 0.404
0.084 0.198 0.065
0.189 0.567 0.889
0.198 0.084 0.565
0.303 0.407 0.431
0.304 0.941 0.096
0.407 0.303 0.931
0.433 0.811 0.611
0.567 0.189 0.389
0.593 0.697 0.069
0.696 0.059 0.904
0.697 0.593 0.569
0.802 0.916 0.435
0.811 0.433 0.111
0.916 0.802 0.935
0.941 0.304 0.596
```

The 12 most intense peaks (10° ≤ 2θ ≤ 90°), in order of rising 2θ:
18.39°, I 62; 23.21°, I 57; 23.94°, I 62; 29.58°, I 100; 29.97°, I 96; 35.30°, I 32; 35.49°, I 42; 40.41°, I 30; 50.62°, I 31; 52.66°, I 27; 62.99°, I 26; 63.46°, I 33

Theoretical powder diffractogram
Compound: LiV4O8
Radiation: Cu Kα X-rays
Structure: the PBE+U geometry in the Materials Project

Structural model:
```
LiV4O8
1.0
5.243 0.000 0.000
2.227 4.749 0.000
0.412 0.246 6.377
Li V O
1 4 8
Direct
0.000 0.000 0.000
0.160 0.160 0.289
0.500 0.500 0.000
0.500 0.500 0.500
0.840 0.840 0.711
0.219 0.716 0.745
0.270 0.270 0.061
0.276 0.276 0.492
0.283 0.783 0.255
0.717 0.217 0.745
0.724 0.724 0.508
0.730 0.730 0.939
0.781 0.284 0.255
```

The 12 most intense peaks (10° ≤ 2θ ≤ 90°), in order of rising 2θ:
18.70°, I 42; 22.91°, I 100; 23.64°, I 41; 23.82°, I 70; 25.39°, I 58; 31.81°, I 83; 33.22°, I 59; 34.40°, I 87; 34.52°, I 90; 42.87°, I 29; 46.80°, I 46; 58.36°, I 26

Theoretical powder diffractogram
Compound: KVO2
Radiation: Cu Kα X-rays
Structure: the PBE+U geometry in the Materials Project

Structural model:
```
KVO2
1.0
5.473 0.000 0.000
0.000 3.090 0.000
-0.143 0.000 6.211
K V O
2 2 4
Direct
0.000 0.000 0.000
0.500 0.500 0.000
0.000 0.000 0.500
0.500 0.500 0.500
0.167 0.500 0.674
0.333 0.000 0.326
0.667 0.000 0.674
0.833 0.500 0.326
```

The 12 most intense peaks (10° ≤ 2θ ≤ 90°), in order of rising 2θ:
14.26°, I 47; 28.75°, I 64; 32.74°, I 48; 33.30°, I 91; 43.58°, I 55; 44.29°, I 42; 44.65°, I 20; 44.82°, I 100; 58.79°, I 39; 59.87°, I 18; 69.56°, I 22; 70.38°, I 18

Theoretical powder diffractogram
Compound: Li3TiNi3O8
Radiation: Cu Kα X-rays
Structure: the PBE+U geometry in the Materials Project

Structural model:
```
Li3TiNi3O8
1.0
5.196 -2.870 0.000
5.196 2.870 0.000
-3.719 0.000 9.538
Li Ti Ni O
6 2 6 16
Direct
0.000 0.500 0.000
0.247 0.248 0.749
0.248 0.247 0.249
0.500 0.000 0.500
0.752 0.753 0.751
0.753 0.752 0.251
0.251 0.749 0.750
0.749 0.251 0.250
0.000 0.000 0.000
0.000 0.000 0.500
0.246 0.754 0.250
0.500 0.500 0.000
0.500 0.500 0.500
0.754 0.246 0.750
0.105 0.122 0.863
0.122 0.105 0.363
0.125 0.656 0.876
0.138 0.659 0.369
0.341 0.862 0.131
0.344 0.875 0.624
0.378 0.399 0.141
0.399 0.378 0.641
0.601 0.622 0.359
0.622 0.601 0.859
0.656 0.125 0.376
0.659 0.138 0.869
0.862 0.341 0.631
0.875 0.344 0.124
0.878 0.895 0.637
0.895 0.878 0.137
```

The 12 most intense peaks (10° ≤ 2θ ≤ 90°), in order of rising 2θ:
18.33°, I 100; 35.41°, I 14; 36.54°, I 25; 37.78°, I 12; 42.46°, I 23; 44.33°, I 41; 47.51°, I 8; 58.28°, I 9; 62.66°, I 12; 63.46°, I 12; 63.99°, I 5; 64.98°, I 6

Theoretical powder diffractogram
Compound: Li9Mn2Co5O16
Radiation: Cu Kα X-rays
Structure: the PBE+U geometry in the Materials Project

Structural model:
```
Li9Mn2Co5O16
1.0
4.973 0.000 0.000
0.003 5.880 0.000
0.649 1.463 9.647
Li Mn Co O
9 2 5 16
Direct
0.000 0.000 0.000
0.001 0.505 0.999
0.245 0.871 0.506
0.246 0.382 0.505
0.367 0.569 0.753
0.489 0.260 0.001
0.491 0.746 0.998
0.733 0.629 0.508
0.737 0.122 0.505
0.367 0.059 0.753
0.868 0.324 0.753
0.117 0.189 0.253
0.117 0.690 0.253
0.618 0.940 0.252
0.619 0.439 0.253
0.867 0.812 0.753
0.024 0.590 0.643
0.052 0.092 0.645
0.176 0.270 0.863
0.179 0.803 0.863
0.317 0.469 0.135
0.317 0.968 0.136
0.418 0.161 0.369
0.418 0.660 0.371
0.555 0.858 0.642
0.559 0.325 0.643
0.683 0.038 0.861
0.711 0.535 0.863
0.815 0.218 0.136
0.816 0.718 0.136
0.920 0.410 0.369
0.920 0.910 0.369
```

The 12 most intense peaks (10° ≤ 2θ ≤ 90°), in order of rising 2θ:
18.39°, I 100; 35.97°, I 28; 36.80°, I 12; 37.77°, I 7; 43.44°, I 56; 44.61°, I 26; 47.98°, I 9; 57.28°, I 11; 62.99°, I 8; 63.25°, I 8; 63.49°, I 7; 64.55°, I 14

Theoretical powder diffractogram
Compound: CoBi2O6
Radiation: Cu Kα X-rays
Structure: the PBE+U geometry in the Materials Project

Structural model:
```
CoBi2O6
1.0
4.913 0.000 0.000
0.000 4.913 0.000
0.000 0.000 9.958
Co Bi O
2 4 12
Direct
0.000 0.000 0.000
0.500 0.500 0.500
0.000 0.000 0.333
0.000 0.000 0.667
0.500 0.500 0.167
0.500 0.500 0.833
0.189 0.189 0.161
0.189 0.189 0.839
0.202 0.202 0.500
0.298 0.702 0.000
0.311 0.689 0.339
0.311 0.689 0.661
0.689 0.311 0.339
0.689 0.311 0.661
0.702 0.298 0.000
0.798 0.798 0.500
0.811 0.811 0.161
0.811 0.811 0.839
```

The 12 most intense peaks (10° ≤ 2θ ≤ 90°), in order of rising 2θ:
20.15°, I 27; 25.64°, I 100; 32.56°, I 89; 36.58°, I 27; 49.77°, I 70; 52.69°, I 16; 59.49°, I 17; 61.97°, I 17; 63.32°, I 20; 75.40°, I 16; 85.64°, I 13; 86.84°, I 14

Theoretical powder diffractogram
Compound: Li9Mn2Co5O16
Radiation: Cu Kα X-rays
Structure: the PBE+U geometry in the Materials Project

Structural model:
```
Li9Mn2Co5O16
1.0
5.118 0.000 0.000
-0.053 5.801 0.000
-1.731 -2.701 9.539
Li Mn Co O
9 2 5 16
Direct
0.000 0.000 0.000
0.000 0.005 0.495
0.000 0.504 0.496
0.242 0.395 0.753
0.246 0.881 0.757
0.498 0.244 0.006
0.504 0.772 0.004
0.753 0.129 0.249
0.754 0.630 0.249
0.002 0.509 0.998
0.752 0.136 0.756
0.236 0.371 0.245
0.242 0.882 0.244
0.495 0.765 0.500
0.498 0.267 0.501
0.750 0.642 0.755
0.093 0.209 0.875
0.095 0.683 0.876
0.133 0.188 0.374
0.141 0.695 0.372
0.347 0.562 0.115
0.378 0.065 0.138
0.402 0.087 0.629
0.405 0.584 0.627
0.602 0.444 0.379
0.615 0.945 0.387
0.632 0.944 0.863
0.653 0.443 0.872
0.853 0.337 0.639
0.861 0.839 0.643
0.888 0.794 0.118
0.901 0.329 0.125
```

The 12 most intense peaks (10° ≤ 2θ ≤ 90°), in order of rising 2θ:
18.38°, I 100; 35.90°, I 14; 36.04°, I 14; 36.60°, I 12; 37.74°, I 7; 43.34°, I 28; 43.60°, I 27; 44.37°, I 26; 62.97°, I 7; 63.32°, I 15; 63.52°, I 7; 64.39°, I 7